# 1
Simulated powder diffractogram
Compound: Ac2Pr3Tm6
Radiation: CuKα
Structure: a structure optimized by DFT (GGA-PBE)
Intensities are scaled so that the largest is 100.

The 12 most intense peaks (10 to 90 degrees two-theta), in order of rising 2θ:
two_theta, intensity, hkl
16.6, 3, 1 1 0
17.2, 3, 1 1 -1
30.4, 100, 1 3 1
35.2, 51, 2 0 2
50.7, 36, 0 6 0
60.2, 43, 4 0 0
63.2, 12, 2 6 2
74.5, 6, 4 0 4
82.4, 3, 1 9 1
82.5, 15, 4 6 0
85.1, 14, 5 3 1
85.2, 3, 3 3 7

```
data_Ac2Pr3Tm6
_chemical_formula_sum 'Ac4 Pr6 Tm12'
_cell_length_a 6.2404
_cell_length_b 10.8181
_cell_length_c 11.9456
_cell_angle_alpha 90.00
_cell_angle_beta 100.07
_cell_angle_gamma 90.00
_space_group_name_H-M_alt 'C 1 2/m 1'
_space_group_IT_number 12
loop_
_space_group_symop_operation_xyz
'x,y,z'
'-x,-y,-z'
'-x,y,-z'
'x,-y,z'
'x+1/2,y+1/2,z'
'-x+1/2,-y+1/2,-z'
'-x+1/2,y+1/2,-z'
'x+1/2,-y+1/2,z'
loop_
_atom_site_label
_atom_site_fract_x
_atom_site_fract_y
_atom_site_fract_z
_atom_site_occupancy
Ac1 0.0000 0.1667 0.0000 1
Pr1 0.0000 0.0000 0.5000 1
Pr2 0.0000 0.3350 0.5000 1
Tm1 0.2464 0.5000 0.7433 1
Tm2 0.2483 0.1660 0.7435 1
```

=====

# 2
Simulated powder diffractogram
Compound: AcPr6Tm
Radiation: CuKα
Structure: a structure optimized by DFT (GGA-PBE)
Intensities are scaled so that the largest is 100.

The 12 most intense peaks (10 to 90 degrees two-theta), in order of rising 2θ:
two_theta, intensity, hkl
16.8, 2, 0 0 2
23.9, 2, 1 1 0
25.4, 1, 0 0 3
29.4, 100, 1 1 2
34.1, 51, 2 0 0
38.2, 1, 2 0 2
49.0, 37, 2 2 0
58.1, 44, 3 1 2
61.0, 13, 2 2 4
71.7, 6, 4 0 0
79.4, 17, 3 3 2
81.9, 16, 4 2 0

```
data_AcPr6Tm
_chemical_formula_sum 'Ac1 Pr6 Tm1'
_cell_length_a 5.2631
_cell_length_b 5.2631
_cell_length_c 10.5224
_cell_angle_alpha 90.00
_cell_angle_beta 90.00
_cell_angle_gamma 90.00
_space_group_name_H-M_alt 'P 4/m m m'
_space_group_IT_number 123
_space_group_name_Hall '-P 4 2'
loop_
_atom_site_label
_atom_site_fract_x
_atom_site_fract_y
_atom_site_fract_z
_atom_site_occupancy
Ac1 0.0000 0.0000 0.0000 1
Pr1 0.0000 0.5000 0.2587 1
Pr2 0.5000 0.5000 0.0000 1
Pr3 0.5000 0.5000 0.5000 1
Tm1 0.0000 0.0000 0.5000 1
```

=====

# 3
Simulated powder diffractogram
Compound: Ac2Pr7Tm4
Radiation: CuKα
Structure: a structure optimized by DFT (GGA-PBE)
Intensities are scaled so that the largest is 100.

The 12 most intense peaks (10 to 90 degrees two-theta), in order of rising 2θ:
two_theta, intensity, hkl
27.0, 24, 0 0 4
28.0, 25, 1 1 0
28.8, 29, 2 -1 1
31.1, 100, 1 1 2
31.5, 22, 1 0 4
34.7, 27, 2 -1 3
49.5, 27, 3 0 0
50.3, 17, 1 1 6
57.3, 14, 3 0 4
59.6, 13, 4 -2 2
77.6, 10, 3 0 8
81.1, 11, 4 1 2

```
data_Ac2Pr7Tm4
_chemical_formula_sum 'Ac2 Pr7 Tm4'
_cell_length_a 6.3778
_cell_length_b 6.3778
_cell_length_c 13.2316
_cell_angle_alpha 90.00
_cell_angle_beta 90.00
_cell_angle_gamma 120.00
_space_group_name_H-M_alt 'P -3 1 m'
_space_group_IT_number 162
_space_group_name_Hall '-P 3 2'
loop_
_atom_site_label
_atom_site_fract_x
_atom_site_fract_y
_atom_site_fract_z
_atom_site_occupancy
Ac1 0.3333 0.6667 0.0000 1
Pr1 0.0000 0.0000 0.0000 1
Pr2 0.0000 0.3768 0.7662 1
Tm1 0.0000 0.0000 0.3929 1
Tm2 0.3333 0.6667 0.5000 1
```

=====

# 4
Simulated powder diffractogram
Compound: Ac2Pr5Tm3
Radiation: CuKα
Structure: a structure optimized by DFT (GGA-PBE)
Intensities are scaled so that the largest is 100.

The 12 most intense peaks (10 to 90 degrees two-theta), in order of rising 2θ:
two_theta, intensity, hkl
21.1, 15, 2 0 -2
26.7, 41, 3 1 -1
30.1, 100, 0 4 2
30.2, 51, 2 0 2
31.6, 52, 3 3 -1
32.5, 13, 3 1 -3
35.4, 12, 2 0 -4
44.9, 12, 5 1 -1
53.5, 20, 2 4 4
53.8, 14, 3 7 -3
54.5, 20, 5 3 1
74.9, 13, 8 0 -4

```
data_Ac2Pr5Tm3
_chemical_formula_sum 'Ac8 Pr20 Tm12'
_cell_length_a 10.2884
_cell_length_b 15.0066
_cell_length_c 10.2970
_cell_angle_alpha 90.00
_cell_angle_beta 109.69
_cell_angle_gamma 90.00
_space_group_name_H-M_alt 'C 1 2/c 1'
_space_group_IT_number 15
loop_
_space_group_symop_operation_xyz
'x,y,z'
'-x,-y,-z'
'-x,y,-z+1/2'
'x,-y,z+1/2'
'x+1/2,y+1/2,z'
'-x+1/2,-y+1/2,-z'
'-x+1/2,y+1/2,-z+1/2'
'x+1/2,-y+1/2,z+1/2'
loop_
_atom_site_label
_atom_site_fract_x
_atom_site_fract_y
_atom_site_fract_z
_atom_site_occupancy
Ac1 0.2493 0.1131 0.0031 1
Pr1 0.0000 0.0346 0.2500 1
Pr2 0.0000 0.2514 0.2500 1
Pr3 0.0000 0.4722 0.2500 1
Pr4 0.1534 0.1275 0.5969 1
Tm1 0.0000 0.2577 0.7500 1
Tm2 0.1566 0.3783 0.5925 1
```

=====

# 5
Simulated powder diffractogram
Compound: Ac4Pr4Tm3
Radiation: CuKα
Structure: a structure optimized by DFT (GGA-PBE)
Intensities are scaled so that the largest is 100.

The 12 most intense peaks (10 to 90 degrees two-theta), in order of rising 2θ:
two_theta, intensity, hkl
29.2, 33, 3 1 -1
29.4, 65, 3 1 1
30.0, 100, 11 1 0
30.4, 87, 0 2 0
30.8, 17, 8 0 1
43.5, 26, 8 2 -1
43.9, 13, 8 2 1
53.4, 13, 3 3 1
53.8, 20, 11 3 0
54.1, 14, 19 1 -1
58.9, 11, 0 2 2
59.1, 14, 11 1 2

```
data_Ac4Pr4Tm3
_chemical_formula_sum 'Ac8 Pr8 Tm6'
_cell_length_a 37.9463
_cell_length_b 5.8787
_cell_length_c 3.7095
_cell_angle_alpha 90.00
_cell_angle_beta 90.92
_cell_angle_gamma 90.00
_space_group_name_H-M_alt 'C 1 2/m 1'
_space_group_IT_number 12
loop_
_space_group_symop_operation_xyz
'x,y,z'
'-x,-y,-z'
'-x,y,-z'
'x,-y,z'
'x+1/2,y+1/2,z'
'-x+1/2,-y+1/2,-z'
'-x+1/2,y+1/2,-z'
'x+1/2,-y+1/2,z'
loop_
_atom_site_label
_atom_site_fract_x
_atom_site_fract_y
_atom_site_fract_z
_atom_site_occupancy
Ac1 0.0914 0.0000 0.2237 1
Ac2 0.2207 0.5000 0.2454 1
Pr1 0.0409 0.5000 0.7730 1
Pr2 0.1793 0.0000 0.7424 1
Tm1 0.0000 0.0000 0.5000 1
Tm2 0.1335 0.5000 0.7299 1
```

=====

# 6
Simulated powder diffractogram
Compound: AcPr4Tm3
Radiation: CuKα
Structure: a structure optimized by DFT (GGA-PBE)
Intensities are scaled so that the largest is 100.

The 12 most intense peaks (10 to 90 degrees two-theta), in order of rising 2θ:
two_theta, intensity, hkl
28.6, 23, 0 0 8
29.2, 9, 0 1 7
30.0, 31, 0 2 0
31.5, 100, 1 1 4
41.9, 17, 0 2 8
48.0, 9, 2 0 0
52.5, 10, 1 1 12
54.2, 22, 1 3 4
57.7, 10, 2 2 0
65.6, 9, 2 2 8
70.1, 8, 0 4 8
79.0, 7, 3 1 4

```
data_AcPr4Tm3
_chemical_formula_sum 'Ac2 Pr8 Tm6'
_cell_length_a 3.7874
_cell_length_b 5.9535
_cell_length_c 24.9653
_cell_angle_alpha 90.00
_cell_angle_beta 90.00
_cell_angle_gamma 90.00
_space_group_name_H-M_alt 'I m m m'
_space_group_IT_number 71
_space_group_name_Hall '-I 2 2'
loop_
_atom_site_label
_atom_site_fract_x
_atom_site_fract_y
_atom_site_fract_z
_atom_site_occupancy
Ac1 0.0000 0.0000 0.0000 1
Pr1 0.0000 0.5000 0.1141 1
Pr2 0.0000 0.5000 0.3579 1
Tm1 0.0000 0.0000 0.2656 1
Tm2 0.0000 0.0000 0.5000 1
```

=====

# 7
Simulated powder diffractogram
Compound: Ac5Pr6Tm2
Radiation: CuKα
Structure: a structure optimized by DFT (GGA-PBE)
Intensities are scaled so that the largest is 100.

The 12 most intense peaks (10 to 90 degrees two-theta), in order of rising 2θ:
two_theta, intensity, hkl
27.4, 17, 3 4 0
27.6, 27, 2 0 1
28.8, 29, 2 2 1
29.3, 100, 1 7 0
29.8, 23, 4 1 0
30.0, 27, 3 5 0
30.2, 85, 2 3 1
30.7, 28, 4 2 0
31.8, 21, 1 5 1
47.6, 20, 0 0 2
54.1, 16, 6 4 1
56.8, 18, 1 7 2

```
data_Ac5Pr6Tm2
_chemical_formula_sum 'Ac10 Pr12 Tm4'
_cell_length_a 12.0850
_cell_length_b 22.0530
_cell_length_c 3.8241
_cell_angle_alpha 90.00
_cell_angle_beta 90.00
_cell_angle_gamma 90.00
_space_group_name_H-M_alt 'P b a m'
_space_group_IT_number 55
loop_
_space_group_symop_operation_xyz
'x,y,z'
'-x,-y,-z'
'-x,-y,z'
'x,y,-z'
'x+1/2,-y+1/2,-z'
'-x+1/2,y+1/2,z'
'-x+1/2,y+1/2,-z'
'x+1/2,-y+1/2,z'
loop_
_atom_site_label
_atom_site_fract_x
_atom_site_fract_y
_atom_site_fract_z
_atom_site_occupancy
Ac1 0.0000 0.0000 0.0000 1
Ac2 0.0645 0.4232 0.0000 1
Ac3 0.1465 0.7231 0.0000 1
Pr1 0.0814 0.1541 0.0000 1
Pr2 0.1654 0.8813 0.5000 1
Pr3 0.2250 0.5567 0.5000 1
Tm1 0.1153 0.2840 0.5000 1
```

=====

# 8
Simulated powder diffractogram
Compound: Ac2Pr5YTm
Radiation: CuKα
Structure: a structure optimized by DFT (GGA-PBE)
Intensities are scaled so that the largest is 100.

The 12 most intense peaks (10 to 90 degrees two-theta), in order of rising 2θ:
two_theta, intensity, hkl
24.9, 8, 0 6 1
26.0, 24, 1 3 2
30.3, 21, 1 1 3
30.4, 100, 1 5 2
31.4, 14, 0 8 0
31.7, 34, 2 0 0
34.1, 17, 0 0 4
45.2, 10, 2 8 0
47.1, 8, 0 8 4
47.3, 14, 2 0 4
55.6, 23, 3 5 2
57.8, 24, 1 13 2

```
data_Ac2Pr5YTm
_chemical_formula_sum 'Ac8 Pr20 Y4 Tm4'
_cell_length_a 5.6497
_cell_length_b 22.7959
_cell_length_c 10.5032
_cell_angle_alpha 90.00
_cell_angle_beta 90.00
_cell_angle_gamma 90.00
_space_group_name_H-M_alt 'C m c m'
_space_group_IT_number 63
_space_group_name_Hall '-C 2c 2'
loop_
_atom_site_label
_atom_site_fract_x
_atom_site_fract_y
_atom_site_fract_z
_atom_site_occupancy
Ac1 0.0000 0.1164 0.0109 1
Pr1 0.0000 0.0026 0.7500 1
Pr2 0.0000 0.2780 0.0607 1
Pr3 0.0000 0.3775 0.7500 1
Pr4 0.0000 0.5000 0.0000 1
Y1 0.0000 0.3969 0.2500 1
Tm1 0.0000 0.2178 0.7500 1
```

=====

# 9
Simulated powder diffractogram
Compound: Ac8PrY3
Radiation: CuKα
Structure: a structure optimized by DFT (GGA-PBE)
Intensities are scaled so that the largest is 100.

The 12 most intense peaks (10 to 90 degrees two-theta), in order of rising 2θ:
two_theta, intensity, hkl
22.9, 7, 3 1 -2
29.0, 100, 3 1 -3
29.1, 46, 0 2 0
41.5, 11, 8 0 -4
41.6, 10, 6 2 -2
48.4, 6, 8 0 0
51.3, 8, 6 0 -6
51.4, 11, 0 2 4
51.6, 21, 3 3 -3
57.3, 7, 5 1 3
57.5, 16, 11 1 -3
60.1, 6, 6 2 -6

```
data_Ac8PrY3
_chemical_formula_sum 'Ac16 Pr2 Y6'
_cell_length_a 18.4334
_cell_length_b 6.1268
_cell_length_c 10.6861
_cell_angle_alpha 90.00
_cell_angle_beta 125.23
_cell_angle_gamma 90.00
_space_group_name_H-M_alt 'C 1 m 1'
_space_group_IT_number 8
loop_
_space_group_symop_operation_xyz
'x,y,z'
'x,-y,z'
'x+1/2,y+1/2,z'
'x+1/2,-y+1/2,z'
loop_
_atom_site_label
_atom_site_fract_x
_atom_site_fract_y
_atom_site_fract_z
_atom_site_occupancy
Ac1 0.0000 0.0000 0.0000 1
Ac2 0.0020 0.0000 0.6604 1
Ac3 0.0074 0.5000 0.1863 1
Ac4 0.1266 0.5000 0.9641 1
Ac5 0.2405 0.5000 0.7266 1
Ac6 0.2526 0.0000 0.9247 1
Ac7 0.3709 0.0000 0.6915 1
Ac8 0.3768 0.5000 0.2197 1
Pr1 0.1261 0.0000 0.4493 1
Y1 0.2509 0.0000 0.2578 1
Y2 0.2517 0.5000 0.4080 1
Y3 0.4929 0.0000 0.4956 1
```

=====

# 10
Simulated powder diffractogram
Compound: Ac2Pr2Y
Radiation: CuKα
Structure: a structure optimized by DFT (GGA-PBE)
Intensities are scaled so that the largest is 100.

The 12 most intense peaks (10 to 90 degrees two-theta), in order of rising 2θ:
two_theta, intensity, hkl
26.0, 16, 0 0 10
29.2, 45, 0 2 0
29.5, 100, 1 1 4
29.7, 23, 1 0 7
31.8, 24, 1 1 6
32.3, 38, 0 1 11
38.3, 12, 1 1 10
42.2, 18, 1 2 7
47.7, 12, 2 0 0
52.0, 22, 1 3 4
56.9, 14, 2 2 0
58.7, 14, 2 1 11

```
data_Ac2Pr2Y
_chemical_formula_sum 'Ac8 Pr8 Y4'
_cell_length_a 3.8162
_cell_length_b 6.1082
_cell_length_c 34.2250
_cell_angle_alpha 90.00
_cell_angle_beta 90.00
_cell_angle_gamma 90.00
_space_group_name_H-M_alt 'I m m a'
_space_group_IT_number 74
_space_group_name_Hall '-I 2b 2'
loop_
_atom_site_label
_atom_site_fract_x
_atom_site_fract_y
_atom_site_fract_z
_atom_site_occupancy
Ac1 0.0000 0.2500 0.1806 1
Ac2 0.0000 0.2500 0.7043 1
Pr1 0.0000 0.2500 0.8867 1
Pr2 0.0000 0.2500 0.9805 1
Y1 0.0000 0.2500 0.4264 1
```

=====

# 11
Simulated powder diffractogram
Compound: Ac4PrY2
Radiation: CuKα
Structure: a structure optimized by DFT (GGA-PBE)
Intensities are scaled so that the largest is 100.

The 12 most intense peaks (10 to 90 degrees two-theta), in order of rising 2θ:
two_theta, intensity, hkl
26.8, 25, 1 3 -2
26.9, 20, 2 0 0
28.0, 25, 0 4 0
28.4, 71, 1 1 3
28.6, 85, 1 1 -4
28.8, 41, 0 4 1
29.6, 100, 2 2 -1
30.3, 42, 1 3 -3
30.5, 26, 2 2 -2
34.8, 44, 1 3 3
51.9, 25, 0 2 7
56.1, 23, 4 2 -1

```
data_Ac4PrY2
_chemical_formula_sum 'Ac16 Pr4 Y8'
_cell_length_a 6.8414
_cell_length_b 12.7575
_cell_length_c 13.2637
_cell_angle_alpha 90.00
_cell_angle_beta 104.62
_cell_angle_gamma 90.00
_space_group_name_H-M_alt 'C 1 c 1'
_space_group_IT_number 9
loop_
_space_group_symop_operation_xyz
'x,y,z'
'x,-y,z+1/2'
'x+1/2,y+1/2,z'
'x+1/2,-y+1/2,z+1/2'
loop_
_atom_site_label
_atom_site_fract_x
_atom_site_fract_y
_atom_site_fract_z
_atom_site_occupancy
Ac1 0.0000 0.0820 0.0000 1
Ac2 0.0908 0.0848 0.2804 1
Ac3 0.1458 0.3561 0.9285 1
Ac4 0.4453 0.1418 0.8532 1
Pr1 0.0455 0.4392 0.6410 1
Y1 0.2449 0.1824 0.5737 1
Y2 0.3480 0.3190 0.2079 1
```

=====

# 12
Simulated powder diffractogram
Compound: Ac9Pr4Y
Radiation: CuKα
Structure: a structure optimized by DFT (GGA-PBE)
Intensities are scaled so that the largest is 100.

The 12 most intense peaks (10 to 90 degrees two-theta), in order of rising 2θ:
two_theta, intensity, hkl
24.2, 11, 1 0 3
24.3, 26, 2 0 2
29.0, 11, 3 0 0
29.5, 15, 2 0 3
29.6, 100, 0 0 4
30.0, 30, 3 0 1
48.0, 22, 3 0 5
48.6, 13, 3 2 3
51.5, 13, 3 3 0
51.8, 19, 5 0 2
60.5, 16, 3 3 4
76.0, 11, 6 2 2

```
data_Ac9Pr4Y
_chemical_formula_sum 'Ac18 Pr8 Y2'
_cell_length_a 10.6533
_cell_length_b 10.6533
_cell_length_c 12.0459
_cell_angle_alpha 90.00
_cell_angle_beta 90.00
_cell_angle_gamma 120.00
_space_group_name_H-M_alt 'P 63/m m c'
_space_group_IT_number 194
_space_group_name_Hall '-P 6c 2c'
loop_
_atom_site_label
_atom_site_fract_x
_atom_site_fract_y
_atom_site_fract_z
_atom_site_occupancy
Ac1 0.0744 0.5372 0.2500 1
Ac2 0.2062 0.4124 0.5314 1
Pr1 0.0000 0.0000 0.0000 1
Pr2 0.1082 0.2164 0.2500 1
Y1 0.3333 0.6667 0.7500 1
```